1.
The following is a computed powder X-ray diffraction pattern of K2RbSbCl6. It was derived from a PBE-relaxed structure, using CuKα.

Cell: 8.1323 8.1323 8.1323 Å, 60.00 60.00 60.00°
Atoms (fractional coordinates):
K  0.2500  0.2500  0.2500
K  0.7500  0.7500  0.7500
Rb  0.0000  0.0000  0.0000
Sb  0.5000  0.5000  0.5000
Cl  0.2690  0.2690  0.7310
Cl  0.2690  0.7310  0.2690
Cl  0.2690  0.7310  0.7310
Cl  0.7310  0.2690  0.2690
Cl  0.7310  0.2690  0.7310
Cl  0.7310  0.7310  0.2690

Top 10 peaks for 2θ = 10–90°, by angle:
d_spacing, I/Imax
5.750, 90
4.066, 95
2.875, 100
2.572, 43
2.348, 41
2.033, 66
1.917, 22
1.818, 23
1.537, 24
1.286, 25

=====

2.
The following is a computed powder X-ray diffraction pattern of K2RbTaCl6. It was derived from a PBE-relaxed structure, using CuKα.

Cell: 7.8433 7.8433 7.8433 Å, 60.00 60.00 60.00°
Atoms (fractional coordinates):
K  0.2500  0.2500  0.2500
K  0.7500  0.7500  0.7500
Rb  0.0000  0.0000  0.0000
Ta  0.5000  0.5000  0.5000
Cl  0.2772  0.2772  0.7228
Cl  0.2772  0.7228  0.2772
Cl  0.2772  0.7228  0.7228
Cl  0.7228  0.2772  0.2772
Cl  0.7228  0.2772  0.7228
Cl  0.7228  0.7228  0.2772

Top 10 peaks for 2θ = 10–90°, by angle:
d_spacing, I/Imax
6.404, 44
5.546, 97
3.922, 100
2.773, 77
2.480, 45
2.264, 41
1.961, 50
1.849, 23
1.754, 26
1.482, 26

=====

3.
The following is a computed powder X-ray diffraction pattern of K2RbTbCl6. It was derived from a PBE-relaxed structure, using CuKα.

Cell: 8.1302 8.1302 8.1302 Å, 60.00 60.00 60.00°
Atoms (fractional coordinates):
K  0.2500  0.2500  0.2500
K  0.7500  0.7500  0.7500
Rb  0.0000  0.0000  0.0000
Tb  0.5000  0.5000  0.5000
Cl  0.2700  0.2700  0.7300
Cl  0.2700  0.7300  0.2700
Cl  0.2700  0.7300  0.7300
Cl  0.7300  0.2700  0.2700
Cl  0.7300  0.2700  0.7300
Cl  0.7300  0.7300  0.2700

Top 10 peaks for 2θ = 10–90°, by angle:
d_spacing, I/Imax
6.638, 30
5.749, 97
4.065, 100
2.874, 89
2.571, 47
2.347, 44
2.033, 59
1.916, 25
1.818, 24
1.536, 26

=====

4.
The following is a computed powder X-ray diffraction pattern of KRb2TbCl6. It was derived from a PBE-relaxed structure, using CuKα.

Cell: 7.9844 7.9844 7.9844 Å, 60.00 60.00 60.00°
Atoms (fractional coordinates):
K  0.0000  0.0000  0.0000
Rb  0.2500  0.2500  0.2500
Rb  0.7500  0.7500  0.7500
Tb  0.5000  0.5000  0.5000
Cl  0.2656  0.2656  0.7344
Cl  0.2656  0.7344  0.2656
Cl  0.2656  0.7344  0.7344
Cl  0.7344  0.2656  0.2656
Cl  0.7344  0.2656  0.7344
Cl  0.7344  0.7344  0.2656

Top 10 peaks for 2θ = 10–90°, by angle:
d_spacing, I/Imax
6.519, 43
3.992, 100
3.405, 17
2.823, 78
2.305, 46
1.996, 52
1.785, 23
1.630, 17
1.509, 26
1.262, 21

=====

5.
The following is a computed powder X-ray diffraction pattern of KRb2TmCl6. It was derived from a PBE-relaxed structure, using CuKα.

Cell: 7.9133 7.9133 7.9133 Å, 60.00 60.00 60.00°
Atoms (fractional coordinates):
K  0.0000  0.0000  0.0000
Rb  0.2500  0.2500  0.2500
Rb  0.7500  0.7500  0.7500
Tm  0.5000  0.5000  0.5000
Cl  0.2678  0.2678  0.7322
Cl  0.2678  0.7322  0.2678
Cl  0.2678  0.7322  0.7322
Cl  0.7322  0.2678  0.2678
Cl  0.7322  0.2678  0.7322
Cl  0.7322  0.7322  0.2678

Top 10 peaks for 2θ = 10–90°, by angle:
d_spacing, I/Imax
6.461, 48
3.957, 100
3.374, 19
2.798, 74
2.284, 45
1.978, 50
1.769, 23
1.615, 16
1.495, 26
1.251, 20

=====

6.
The following is a computed powder X-ray diffraction pattern of K2RbYCl6. It was derived from a PBE-relaxed structure, using CuKα.

Cell: 8.1145 8.1145 8.1145 Å, 60.00 60.00 60.00°
Atoms (fractional coordinates):
K  0.2500  0.2500  0.2500
K  0.7500  0.7500  0.7500
Rb  0.0000  0.0000  0.0000
Y  0.5000  0.5000  0.5000
Cl  0.2703  0.2703  0.7297
Cl  0.2703  0.7297  0.2703
Cl  0.2703  0.7297  0.7297
Cl  0.7297  0.2703  0.2703
Cl  0.7297  0.2703  0.7297
Cl  0.7297  0.7297  0.2703

Top 10 peaks for 2θ = 10–90°, by angle:
d_spacing, I/Imax
5.738, 76
4.057, 82
2.869, 100
2.566, 34
2.342, 34
2.029, 64
1.814, 20
1.656, 21
1.533, 21
1.283, 23

=====

7.
The following is a computed powder X-ray diffraction pattern of K3RhCl6. It was derived from a PBE-relaxed structure, using CuKα.

Cell: 12.7353 7.5682 12.1416 Å, 90.00 108.32 90.00°
Atoms (fractional coordinates):
K  0.0989  0.0325  0.3595
K  0.0989  0.4675  0.8595
K  0.3178  0.5700  0.2659
K  0.3178  0.9300  0.7659
K  0.3191  0.0646  0.1127
K  0.3191  0.4354  0.6127
K  0.6809  0.5646  0.3873
K  0.6809  0.9354  0.8873
K  0.6822  0.0700  0.2341
K  0.6822  0.4300  0.7341
K  0.9011  0.5325  0.1405
K  0.9011  0.9675  0.6405
Rh  0.0000  0.0000  0.0000
Rh  0.0000  0.5000  0.5000
Rh  0.5000  0.0000  0.5000
Rh  0.5000  0.5000  0.0000
Cl  0.0937  0.2444  0.5995
Cl  0.0937  0.2556  0.0995
Cl  0.1155  0.0012  0.8798
Cl  0.1155  0.4988  0.3798
Cl  0.1230  0.6879  0.6376
Cl  0.1230  0.8121  0.1376
Cl  0.3532  0.6916  0.0047
Cl  0.3532  0.8084  0.5047
Cl  0.3610  0.2049  0.3983
Cl  0.3610  0.2951  0.8983
Cl  0.4995  0.1290  0.6784
Cl  0.4995  0.3710  0.1784
Cl  0.5005  0.6290  0.8216
Cl  0.5005  0.8710  0.3216
Cl  0.6390  0.7049  0.1017
Cl  0.6390  0.7951  0.6017
Cl  0.6468  0.1916  0.4953
Cl  0.6468  0.3084  0.9953
Cl  0.8770  0.1879  0.8624
Cl  0.8770  0.3121  0.3624
Cl  0.8845  0.5012  0.6202
Cl  0.8845  0.9988  0.1202
Cl  0.9063  0.7444  0.9005
Cl  0.9063  0.7556  0.4005

Top 10 peaks for 2θ = 10–90°, by angle:
d_spacing, I/Imax
6.049, 100
5.763, 20
5.246, 51
3.700, 28
3.569, 39
2.727, 17
2.623, 55
2.518, 18
2.018, 18
1.785, 20

=====

8.
The following is a computed powder X-ray diffraction pattern of K2SbCl5. It was derived from a PBE-relaxed structure, using CuKα.

Cell: 9.0956 12.7684 9.0747 Å, 90.00 109.14 90.00°
Atoms (fractional coordinates):
K  0.1314  0.1314  0.1560
K  0.1314  0.3686  0.6560
K  0.3213  0.6719  0.9054
K  0.3213  0.8281  0.4054
K  0.6787  0.1719  0.5946
K  0.6787  0.3281  0.0946
K  0.8686  0.6314  0.3440
K  0.8686  0.8686  0.8440
Sb  0.3084  0.0035  0.7932
Sb  0.3084  0.4965  0.2932
Sb  0.6916  0.5035  0.7068
Sb  0.6916  0.9965  0.2068
Cl  0.0870  0.1391  0.7909
Cl  0.0870  0.3609  0.2909
Cl  0.1075  0.6145  0.1391
Cl  0.1075  0.8855  0.6391
Cl  0.2533  0.5936  0.5411
Cl  0.2533  0.9064  0.0411
Cl  0.3287  0.0754  0.5354
Cl  0.3287  0.4246  0.0354
Cl  0.4974  0.1511  0.2131
Cl  0.4974  0.3489  0.7131
Cl  0.5026  0.6511  0.2869
Cl  0.5026  0.8489  0.7869
Cl  0.6713  0.5754  0.9646
Cl  0.6713  0.9246  0.4646
Cl  0.7467  0.0936  0.9589
Cl  0.7467  0.4064  0.4589
Cl  0.8925  0.1145  0.3609
Cl  0.8925  0.3855  0.8609
Cl  0.9130  0.6391  0.7091
Cl  0.9130  0.8609  0.2091

Top 10 peaks for 2θ = 10–90°, by angle:
d_spacing, I/Imax
6.396, 100
4.869, 42
4.292, 31
3.691, 44
3.563, 27
3.305, 29
2.943, 19
2.736, 54
2.665, 18
2.133, 24